Structure and computed powder XRD pattern of Tb2Mn3Sb3O14 (a structure optimized by DFT (GGA+U); λ = 1.5418 Å (Cu Kα)).
No peak broadening, texture or thermal motion is included.

Crystal structure
```
data_Tb2Mn3Sb3O14
_space_group_name_H-M_alt 'C 1 2/m 1'
_space_group_IT_number 12
_cell_length_a 12.3459
_cell_length_b 7.3633
_cell_length_c 7.2869
_cell_angle_alpha 90.00
_cell_angle_beta 123.96
_cell_angle_gamma 90.00
loop_
_space_group_symop_operation_xyz
'x,y,z'
'-x,-y,-z'
'-x,y,-z'
'x,-y,z'
'x+1/2,y+1/2,z'
'-x+1/2,-y+1/2,-z'
'-x+1/2,y+1/2,-z'
'x+1/2,-y+1/2,z'
loop_
_atom_site_label
_atom_site_fract_x
_atom_site_fract_y
_atom_site_fract_z
Tb1 0.2500 0.2500 0.0000
Mn1 0.0000 0.0000 0.0000
Mn2 0.0000 0.0000 0.5000
Mn3 0.0000 0.5000 0.5000
Sb1 0.0000 0.5000 0.0000
Sb2 0.2500 0.2500 0.5000
O1 0.0925 0.5000 0.8543
O2 0.1165 0.0000 0.8695
O3 0.1233 0.2933 0.1745
O4 0.1288 0.3026 0.5898
O5 0.1720 0.0000 0.4361
```

Most intense lines, 5° ≤ 2θ ≤ 70°, most intense first:
Position (°2θ)	I/Imax	h k l
29.89	100	2 2 0
29.56	52	0 0 2
30.67	47	4 0 -2
34.65	40	2 2 -2
49.38	33	2 2 2
50.84	30	6 2 -2
58.77	28	0 4 2
35.05	19	4 0 0